Entry 1:
Simulated PXRD pattern
Compound: La2Al5Cu5
Radiation: Cu Ka
Structure: a PBE-relaxed structure

Cell and atoms:
Cell: 4.1939 5.3975 9.2839 Å, 90.00 90.00 90.00°
Positions (direct):
1 La 0.0000 0.0000 0.0000
2 La 0.0000 0.5000 0.5000
3 Al 0.5000 0.0000 0.5000
4 Al 0.5000 0.2511 0.2400
5 Al 0.5000 0.2511 0.7600
6 Al 0.5000 0.7489 0.2400
7 Al 0.5000 0.7489 0.7600
8 Cu 0.0000 0.0000 0.3331
9 Cu 0.0000 0.0000 0.6669
10 Cu 0.0000 0.5000 0.1664
11 Cu 0.0000 0.5000 0.8336
12 Cu 0.5000 0.5000 0.0000

Most intense lines, 15 to 90 degrees two-theta, by intensity:
two_theta, d_spacing, intensity
39.9, 2.261, 100.0
33.4, 2.685, 40.5
39.7, 2.269, 38.2
28.6, 3.118, 37.4
21.2, 4.194, 35.9
33.2, 2.699, 29.6
43.1, 2.097, 27.0
63.8, 1.458, 23.8
55.6, 1.653, 18.1
38.6, 2.333, 15.0



Entry 2:
Simulated PXRD pattern
Compound: La8Al3Cu2
Radiation: Cu Ka
Structure: a PBE-relaxed structure

Cell and atoms:
Cell: 9.0498 9.0498 5.5399 Å, 90.00 90.00 124.12°
Positions (direct):
1 La 0.1080 0.8920 0.0000
2 La 0.1758 0.4154 0.5000
3 La 0.3064 0.6936 0.0000
4 La 0.4154 0.1758 0.5000
5 La 0.5846 0.8242 0.5000
6 La 0.6936 0.3064 0.0000
7 La 0.8242 0.5846 0.5000
8 La 0.8920 0.1080 0.0000
9 Al 0.0000 0.0000 0.5000
10 Al 0.3406 0.3406 0.0000
11 Al 0.6594 0.6594 0.0000
12 Cu 0.2164 0.7836 0.5000
13 Cu 0.7836 0.2164 0.5000

Most intense lines, 15 to 90 degrees two-theta, by intensity:
two_theta, d_spacing, intensity
34.1, 2.633, 100.0
26.5, 3.367, 91.9
34.8, 2.575, 87.2
32.3, 2.770, 71.1
39.6, 2.277, 38.2
22.2, 3.997, 34.8
42.7, 2.119, 32.7
54.5, 1.683, 31.8
64.4, 1.446, 28.5
32.2, 2.784, 23.5



Entry 3:
Simulated PXRD pattern
Compound: LaAl3Cu2
Radiation: Cu Ka
Structure: a PBE-relaxed structure

Cell and atoms:
Cell: 6.6243 6.6243 5.1266 Å, 90.00 90.00 75.50°
Positions (direct):
1 La 0.1652 0.8348 0.7500
2 La 0.8348 0.1652 0.2500
3 Al 0.0294 0.5844 0.2500
4 Al 0.4156 0.9706 0.2500
5 Al 0.4328 0.5672 0.2500
6 Al 0.5672 0.4328 0.7500
7 Al 0.5844 0.0294 0.7500
8 Al 0.9706 0.4156 0.7500
9 Cu 0.2968 0.2968 0.0000
10 Cu 0.2968 0.2968 0.5000
11 Cu 0.7032 0.7032 0.0000
12 Cu 0.7032 0.7032 0.5000

Most intense lines, 15 to 90 degrees two-theta, by intensity:
two_theta, d_spacing, intensity
32.9, 2.719, 100.0
34.2, 2.618, 60.1
27.8, 3.207, 59.6
22.2, 4.004, 43.5
39.1, 2.302, 37.5
41.7, 2.167, 31.0
28.1, 3.181, 23.8
56.0, 1.642, 23.4
55.5, 1.656, 22.0
82.8, 1.166, 20.5



Entry 4:
Simulated PXRD pattern
Compound: La3Al2Cu2
Radiation: Cu Ka
Structure: a PBE-relaxed structure

Cell and atoms:
Cell: 10.4767 10.4767 10.4767 Å, 159.10 154.92 32.86°
Positions (direct):
1 La 0.0000 0.0000 0.0000
2 La 0.3100 0.8100 0.5000
3 La 0.6900 0.1900 0.5000
4 Al 0.1326 0.6326 0.5000
5 Al 0.8674 0.3674 0.5000
6 Cu 0.4348 0.4348 0.0000
7 Cu 0.5652 0.5652 0.0000

Most intense lines, 15 to 90 degrees two-theta, by intensity:
two_theta, d_spacing, intensity
32.0, 2.801, 100.0
32.4, 2.761, 60.4
23.6, 3.763, 48.5
37.0, 2.428, 35.8
52.1, 1.756, 31.2
39.6, 2.274, 26.5
47.8, 1.901, 23.7
62.0, 1.496, 15.3
63.8, 1.458, 12.6
45.2, 2.005, 11.6



Entry 5:
Simulated PXRD pattern
Compound: La2Al12CuNi3
Radiation: Cu Ka
Structure: a PBE-relaxed structure

Cell and atoms:
Cell: 7.7098 7.7098 7.7098 Å, 68.28 68.28 68.28°
Positions (direct):
1 La 0.0874 0.0874 0.0874
2 La 0.9126 0.9126 0.9126
3 Al 0.1272 0.6350 0.6350
4 Al 0.2506 0.2506 0.6080
5 Al 0.2506 0.6080 0.2506
6 Al 0.3650 0.3650 0.8728
7 Al 0.3650 0.8728 0.3650
8 Al 0.3920 0.7494 0.7494
9 Al 0.6080 0.2506 0.2506
10 Al 0.6350 0.1272 0.6350
11 Al 0.6350 0.6350 0.1272
12 Al 0.7494 0.3920 0.7494
13 Al 0.7494 0.7494 0.3920
14 Al 0.8728 0.3650 0.3650
15 Cu 0.5000 0.5000 0.5000
16 Ni 0.0000 0.5000 0.5000
17 Ni 0.5000 0.0000 0.5000
18 Ni 0.5000 0.5000 0.0000

Most intense lines, 15 to 90 degrees two-theta, by intensity:
two_theta, d_spacing, intensity
24.3, 3.665, 100.0
41.8, 2.163, 67.6
37.7, 2.386, 38.6
25.8, 3.448, 35.4
20.5, 4.327, 34.3
15.5, 5.708, 32.1
28.0, 3.188, 31.7
40.9, 2.208, 30.8
37.0, 2.429, 28.8
48.4, 1.881, 25.2



Entry 6:
Simulated PXRD pattern
Compound: La2AlCuNi6
Radiation: Cu Ka
Structure: a PBE-relaxed structure

Cell and atoms:
Cell: 6.0215 6.0525 6.0662 Å, 62.59 62.72 62.75°
Positions (direct):
1 La 0.1976 0.1978 0.1976
2 La 0.8024 0.8022 0.8024
3 Al 0.5000 0.5000 0.5000
4 Cu 0.0000 0.0000 0.0000
5 Ni 0.1636 0.3191 0.6113
6 Ni 0.3207 0.6119 0.1635
7 Ni 0.3866 0.8358 0.6798
8 Ni 0.6134 0.1642 0.3202
9 Ni 0.6793 0.3881 0.8365
10 Ni 0.8364 0.6809 0.3887

Most intense lines, 15 to 90 degrees two-theta, by intensity:
two_theta, d_spacing, intensity
35.1, 2.556, 100.0
28.4, 3.145, 90.8
33.9, 2.642, 67.0
44.4, 2.040, 58.0
34.9, 2.569, 38.3
80.9, 1.188, 32.2
34.1, 2.627, 31.3
44.5, 2.035, 28.7
50.2, 1.816, 27.1
37.2, 2.417, 21.4



Entry 7:
Simulated PXRD pattern
Compound: La3AlCu2Pd9
Radiation: Cu Ka
Structure: a PBE-relaxed structure

Cell and atoms:
Cell: 7.4840 7.4840 6.4052 Å, 90.00 90.00 120.00°
Positions (direct):
1 La 0.0000 0.0000 0.0000
2 La 0.3333 0.6667 0.6741
3 La 0.6667 0.3333 0.3259
4 Al 0.0000 0.0000 0.5000
5 Cu 0.3333 0.6667 0.1725
6 Cu 0.6667 0.3333 0.8275
7 Pd 0.0000 0.5000 0.0000
8 Pd 0.1632 0.3263 0.3303
9 Pd 0.1632 0.8368 0.3303
10 Pd 0.3263 0.1632 0.6697
11 Pd 0.5000 0.0000 0.0000
12 Pd 0.5000 0.5000 0.0000
13 Pd 0.6737 0.8368 0.3303
14 Pd 0.8368 0.1632 0.6697
15 Pd 0.8368 0.6737 0.6697

Most intense lines, 15 to 90 degrees two-theta, by intensity:
two_theta, d_spacing, intensity
30.9, 2.892, 100.0
39.6, 2.278, 82.1
48.7, 1.871, 44.8
66.4, 1.407, 21.6
64.4, 1.446, 18.8
65.0, 1.436, 18.5
84.7, 1.144, 17.4
58.8, 1.571, 15.7
42.3, 2.135, 14.0
79.7, 1.203, 12.8



Entry 8:
Simulated PXRD pattern
Compound: LaAl6CuPd
Radiation: Cu Ka
Structure: a PBE-relaxed structure

Cell and atoms:
Cell: 8.1082 8.1082 8.1082 Å, 129.84 115.17 86.22°
Positions (direct):
1 La 0.4489 0.1989 0.2500
2 La 0.5511 0.8011 0.7500
3 Al 0.1008 0.4287 0.2831
4 Al 0.1008 0.8177 0.6721
5 Al 0.1500 0.9000 0.2500
6 Al 0.2705 0.5205 0.7500
7 Al 0.3544 0.1823 0.7831
8 Al 0.3544 0.5713 0.1721
9 Al 0.6456 0.4287 0.8279
10 Al 0.6456 0.8177 0.2169
11 Al 0.7295 0.4795 0.2500
12 Al 0.8500 0.1000 0.7500
13 Al 0.8992 0.1823 0.3279
14 Al 0.8992 0.5713 0.7169
15 Cu 0.0000 0.0000 0.5000
16 Cu 0.0000 0.5000 0.0000
17 Pd 0.0000 0.0000 0.0000
18 Pd 0.5000 0.0000 0.5000

Most intense lines, 15 to 90 degrees two-theta, by intensity:
two_theta, d_spacing, intensity
33.3, 2.689, 100.0
25.4, 3.504, 85.1
28.9, 3.086, 67.4
41.5, 2.175, 52.5
34.6, 2.594, 28.3
40.3, 2.240, 27.6
45.5, 1.993, 24.5
36.2, 2.484, 23.4
40.1, 2.249, 16.6
47.0, 1.932, 16.1



Entry 9:
Simulated PXRD pattern
Compound: LaAlCuPt2
Radiation: Cu Ka
Structure: a PBE-relaxed structure

Cell and atoms:
Cell: 6.6189 6.6189 6.6189 Å, 144.59 144.59 50.94°
Positions (direct):
1 La 0.0000 0.0000 0.0000
2 Al 0.7500 0.2500 0.5000
3 Cu 0.2500 0.7500 0.5000
4 Pt 0.3844 0.3844 0.0000
5 Pt 0.6156 0.6156 0.0000

Most intense lines, 15 to 90 degrees two-theta, by intensity:
two_theta, d_spacing, intensity
31.6, 2.832, 100.0
44.1, 2.055, 71.4
31.4, 2.846, 70.4
45.0, 2.013, 55.8
34.9, 2.570, 46.3
64.8, 1.438, 45.6
56.1, 1.640, 39.8
23.3, 3.815, 39.3
43.9, 2.061, 35.0
82.4, 1.171, 23.2



Entry 10:
Simulated PXRD pattern
Compound: La2Al3CuPt4
Radiation: Cu Ka
Structure: a PBE-relaxed structure

Cell and atoms:
Cell: 4.3385 4.3385 10.3952 Å, 90.00 90.00 90.00°
Positions (direct):
1 La 0.0000 0.5000 0.2461
2 La 0.5000 0.0000 0.7539
3 Al 0.0000 0.0000 0.0000
4 Al 0.0000 0.5000 0.6228
5 Al 0.5000 0.0000 0.3772
6 Cu 0.5000 0.5000 0.0000
7 Pt 0.0000 0.0000 0.5000
8 Pt 0.0000 0.5000 0.8638
9 Pt 0.5000 0.0000 0.1362
10 Pt 0.5000 0.5000 0.5000

Most intense lines, 15 to 90 degrees two-theta, by intensity:
two_theta, d_spacing, intensity
33.9, 2.642, 100.0
41.6, 2.169, 62.3
30.4, 2.942, 52.2
33.1, 2.708, 45.1
26.8, 3.331, 27.7
25.7, 3.465, 27.1
45.8, 1.983, 26.8
48.6, 1.875, 24.3
71.1, 1.327, 23.4
54.2, 1.693, 22.2



Entry 11:
Simulated PXRD pattern
Compound: LaAlCu2S4
Radiation: Cu Ka
Structure: a PBE-relaxed structure

Cell and atoms:
Cell: 5.9071 5.9071 5.9071 Å, 114.75 112.52 101.44°
Positions (direct):
1 La 0.0000 0.0000 0.0000
2 Al 0.5000 0.5000 0.0000
3 Cu 0.3182 0.8182 0.5000
4 Cu 0.6818 0.1818 0.5000
5 S 0.1288 0.1191 0.5961
6 S 0.4770 0.8809 0.0097
7 S 0.5230 0.5327 0.4039
8 S 0.8712 0.4673 0.9903

Most intense lines, 15 to 90 degrees two-theta, by intensity:
two_theta, d_spacing, intensity
30.9, 2.894, 100.0
18.3, 4.849, 55.5
39.4, 2.285, 54.3
33.0, 2.718, 44.0
38.6, 2.331, 30.8
50.4, 1.810, 26.4
51.4, 1.777, 25.5
27.2, 3.281, 18.5
63.7, 1.461, 18.1
48.4, 1.881, 17.0



Entry 12:
Simulated PXRD pattern
Compound: LaAl4Cu2Si
Radiation: Cu Ka
Structure: a PBE-relaxed structure

Cell and atoms:
Cell: 4.2538 4.2620 7.9422 Å, 90.00 90.00 90.00°
Positions (direct):
1 La 0.0000 0.0000 0.0000
2 Al 0.0000 0.5000 0.3413
3 Al 0.0000 0.5000 0.6815
4 Al 0.5000 0.0000 0.3492
5 Al 0.5000 0.5000 0.1434
6 Cu 0.0000 0.0000 0.5180
7 Cu 0.5000 0.5000 0.8398
8 Si 0.5000 0.0000 0.6871

Most intense lines, 15 to 90 degrees two-theta, by intensity:
two_theta, d_spacing, intensity
30.8, 2.904, 100.0
42.5, 2.129, 57.3
37.5, 2.399, 49.5
31.8, 2.815, 48.6
53.4, 1.717, 41.1
29.7, 3.011, 33.5
50.7, 1.800, 28.5
20.9, 4.258, 25.6
68.2, 1.374, 22.5
40.1, 2.248, 22.3



Entry 13:
Simulated PXRD pattern
Compound: LaAlZnCu3
Radiation: Cu Ka
Structure: a PBE-relaxed structure

Cell and atoms:
Cell: 6.7951 6.7951 5.8887 Å, 90.00 90.00 125.72°
Positions (direct):
1 La 0.2084 0.7916 0.7500
2 La 0.7916 0.2084 0.2500
3 Al 0.4593 0.5407 0.7500
4 Al 0.5407 0.4593 0.2500
5 Zn 0.1348 0.8652 0.2500
6 Zn 0.8652 0.1348 0.7500
7 Cu 0.2005 0.2005 0.0000
8 Cu 0.2005 0.2005 0.5000
9 Cu 0.3418 0.6582 0.2500
10 Cu 0.6582 0.3418 0.7500
11 Cu 0.7995 0.7995 0.0000
12 Cu 0.7995 0.7995 0.5000

Most intense lines, 15 to 90 degrees two-theta, by intensity:
two_theta, d_spacing, intensity
42.3, 2.135, 100.0
33.9, 2.647, 79.0
32.5, 2.758, 72.3
30.5, 2.931, 47.6
43.0, 2.105, 40.5
33.3, 2.690, 34.7
28.8, 3.100, 30.5
44.6, 2.031, 30.4
40.6, 2.220, 28.8
16.1, 5.517, 23.7